No. 1
This entry pairs a crystal structure of Co5Se4Cl2O12 with its simulated powder XRD pattern. Radiation: Cu Kα (λ = 1.5418 Å). Structure: a structure optimized by DFT (PBE+U).
Lines closer than 0.1° are merged.

Crystal structure
```
Co5Se4Cl2O12
1.0
6.5852 0.0000 0.0000
1.2059 7.7838 0.0000
2.4378 2.9304 7.0389
Co Se Cl O
5 4 2 12
Direct
0.0000 0.0000 0.0000
0.1120 0.6961 0.4376
0.3189 0.8727 0.6563
0.6811 0.1273 0.3437
0.8880 0.3039 0.5624
0.2152 0.1588 0.2222
0.3474 0.3090 0.6750
0.6526 0.6910 0.3250
0.7848 0.8412 0.7778
0.1741 0.6897 0.0032
0.8259 0.3103 0.9968
0.0341 0.8052 0.6375
0.1681 0.4142 0.5358
0.1682 0.9511 0.2111
0.2619 0.0826 0.7751
0.3610 0.0966 0.3860
0.4165 0.6972 0.4951
0.5835 0.3028 0.5049
0.6390 0.9034 0.6140
0.7381 0.9174 0.2249
0.8318 0.0489 0.7889
0.8319 0.5858 0.4642
0.9659 0.1948 0.3625
```

Most intense lines, 15° ≤ 2θ ≤ 90°, sorted by position:
2theta  d (Å)  I (rel.)
23.47  3.791  92
24.78  3.593  41
27.86  3.202  88
28.48  3.134  31
32.03  2.795  94
32.34  2.768  44
32.73  2.736  100
33.39  2.684  72
34.30  2.615  31
35.18  2.551  39
36.37  2.471  59
54.76  1.676  30

=====

No. 2
This entry pairs a crystal structure of Co3Se4Cl2O10 with its simulated powder XRD pattern. Radiation: Cu Kα (λ = 1.5418 Å). Structure: a structure optimized by DFT (PBE+U).
Lines closer than 0.1° are merged.

Crystal structure
```
Co3Se4Cl2O10
1.0
3.7872 -7.0950 0.0000
3.7872 7.0950 0.0000
-1.8988 0.0000 5.6008
Co Se Cl O
3 4 2 10
Direct
0.0000 0.0000 0.0000
0.1282 0.8718 0.5000
0.8718 0.1282 0.5000
0.1797 0.5021 0.2244
0.4979 0.8203 0.7756
0.5021 0.1797 0.2244
0.8203 0.4979 0.7756
0.1991 0.1991 0.7484
0.8009 0.8009 0.2516
0.0307 0.2484 0.2407
0.0382 0.5891 0.2882
0.2484 0.0307 0.2407
0.3888 0.6112 0.5000
0.4109 0.9618 0.7118
0.5891 0.0382 0.2882
0.6112 0.3888 0.5000
0.7516 0.9693 0.7593
0.9618 0.4109 0.7118
0.9693 0.7516 0.7593
```

Most intense lines, 15° ≤ 2θ ≤ 90°, sorted by position:
2theta  d (Å)  I (rel.)
22.52  3.949  16
24.81  3.589  52
25.15  3.541  29
27.86  3.202  23
29.89  2.989  100
30.97  2.887  14
33.70  2.660  26
35.59  2.523  19
35.88  2.503  16
42.36  2.134  15
47.15  1.928  15
50.89  1.794  13

=====

No. 3
This entry pairs a crystal structure of Sr2CoSe2Cl2O6 with its simulated powder XRD pattern. Radiation: Cu Kα (λ = 1.5418 Å). Structure: a structure optimized by DFT (PBE+U).
Lines closer than 0.1° are merged.

Crystal structure
```
Sr2CoSe2Cl2O6
1.0
5.4465 0.0000 0.0000
0.0000 6.4909 0.0000
-4.7754 0.0000 12.5327
Sr Co Se Cl O
4 2 4 4 12
Direct
0.2216 0.2018 0.2347
0.2216 0.2982 0.7347
0.7784 0.7018 0.2653
0.7784 0.7982 0.7653
0.5000 0.0000 0.0000
0.5000 0.5000 0.5000
0.0787 0.7382 0.0748
0.0787 0.7618 0.5748
0.9213 0.2382 0.4252
0.9213 0.2618 0.9252
0.4513 0.6738 0.8952
0.4513 0.8262 0.3952
0.5487 0.1738 0.6048
0.5487 0.3262 0.1048
0.1080 0.5725 0.1771
0.1080 0.9275 0.6771
0.1152 0.0720 0.8954
0.1152 0.4280 0.3954
0.3767 0.6278 0.6212
0.3767 0.8722 0.1212
0.6233 0.1278 0.8788
0.6233 0.3722 0.3788
0.8848 0.5720 0.6046
0.8848 0.9280 0.1046
0.8920 0.0725 0.3229
0.8920 0.4275 0.8229
```

Most intense lines, 15° ≤ 2θ ≤ 90°, sorted by position:
2theta  d (Å)  I (rel.)
26.17  3.405  19
27.48  3.245  25
29.65  3.013  100
30.92  2.892  88
31.71  2.822  19
32.94  2.719  45
33.12  2.705  20
35.01  2.563  15
43.38  2.086  28
45.13  2.009  18
52.07  1.756  19
56.03  1.641  15

=====

No. 4
This entry pairs a crystal structure of YCo3Se2ClO8 with its simulated powder XRD pattern. Radiation: Cu Kα (λ = 1.5418 Å). Structure: a structure optimized by DFT (PBE+U).
Lines closer than 0.1° are merged.

Crystal structure
```
YCo3Se2ClO8
1.0
6.4260 0.0000 0.0000
0.0000 9.6317 0.0000
0.0000 0.0000 7.1993
Y Co Se Cl O
2 6 4 2 16
Direct
0.2500 0.2500 0.2352
0.7500 0.7500 0.7648
0.0000 0.0000 0.5000
0.0000 0.5000 0.5000
0.2500 0.2500 0.7061
0.5000 0.0000 0.5000
0.5000 0.5000 0.5000
0.7500 0.7500 0.2939
0.2500 0.5608 0.9124
0.2500 0.9392 0.9124
0.7500 0.0608 0.0876
0.7500 0.4392 0.0876
0.2500 0.7500 0.3686
0.7500 0.2500 0.6314
0.0392 0.5888 0.7666
0.0392 0.9112 0.7666
0.2500 0.1134 0.4992
0.2500 0.1198 0.9253
0.2500 0.3802 0.9253
0.2500 0.3866 0.4992
0.4608 0.5888 0.7666
0.4608 0.9112 0.7666
0.5392 0.0888 0.2334
0.5392 0.4112 0.2334
0.7500 0.6134 0.5008
0.7500 0.6198 0.0747
0.7500 0.8802 0.0747
0.7500 0.8866 0.5008
0.9608 0.0888 0.2334
0.9608 0.4112 0.2334
```

Most intense lines, 15° ≤ 2θ ≤ 90°, sorted by position:
2theta  d (Å)  I (rel.)
16.58  5.346  48
26.23  3.398  55
27.77  3.213  41
28.42  3.140  37
29.93  2.986  36
30.47  2.934  75
31.02  2.883  100
31.14  2.872  55
33.56  2.670  82
35.84  2.506  94
40.14  2.247  40
53.98  1.699  63

=====

No. 5
This entry pairs a crystal structure of Co2TeCl2O3 with its simulated powder XRD pattern. Radiation: Cu Kα (λ = 1.5418 Å). Structure: a structure optimized by DFT (PBE+U).
Lines closer than 0.1° are merged.

Crystal structure
```
Co2TeCl2O3
1.0
5.0898 0.0000 0.0000
0.0000 6.8160 0.0000
-2.3472 0.0000 8.0444
Co Te Cl O
4 2 4 6
Direct
0.0000 0.0000 0.0000
0.0000 0.5000 0.0000
0.2438 0.2500 0.7888
0.7562 0.7500 0.2112
0.3946 0.7500 0.7513
0.6054 0.2500 0.2487
0.1595 0.2500 0.5000
0.2584 0.7500 0.2019
0.7416 0.2500 0.7981
0.8405 0.7500 0.5000
0.2313 0.5393 0.8378
0.2313 0.9607 0.8378
0.2606 0.2500 0.0668
0.7394 0.7500 0.9332
0.7687 0.0393 0.1622
0.7687 0.4607 0.1622
```

Most intense lines, 15° ≤ 2θ ≤ 90°, sorted by position:
2theta  d (Å)  I (rel.)
22.10  4.022  46
22.60  3.934  44
23.81  3.737  83
24.41  3.647  62
26.15  3.408  80
27.21  3.277  55
27.74  3.215  40
32.02  2.795  58
32.17  2.782  66
32.56  2.750  55
34.49  2.600  100
51.91  1.761  42